This entry pairs a crystal structure of RbNdTcO5 with its theoretical X-ray diffraction stick pattern. Radiation: λ = 1.5418 Å (Cu Kα). Structure: the GGA-PBE geometry in Alexandria.
Peak positions follow from Bragg's law for the DFT cell and can differ from measured ones.

Most intense lines, 15° ≤ 2θ ≤ 90°, in order of rising 2θ:
2θ 23.01, d = 3.866 Å, I 95, hkl 1 1 -2; 2θ 24.85, d = 3.584 Å, I 87, hkl 2 0 0; 2θ 28.16, d = 3.169 Å, I 100, hkl 1 3 0; 2θ 28.68, d = 3.113 Å, I 65, hkl 0 2 2; 2θ 31.37, d = 2.852 Å, I 33, hkl 2 2 -2; 2θ 36.44, d = 2.465 Å, I 27, hkl 3 1 -2; 2θ 45.85, d = 1.979 Å, I 30, hkl 3 3 0; 2θ 50.99, d = 1.791 Å, I 34, hkl 1 3 -4

Crystal structure
a b c (Å): 7.822 10.600 8.395
angles (deg): 90.00 113.62 90.00
Space group C2/c (No. 15)
Inequivalent atoms, fractional coordinates:
1 Rb 0.000 0.175 0.250
2 Nd 0.000 0.500 0.000
3 Tc 0.000 0.182 0.750
4 O 0.000 0.427 0.250
5 O 0.082 0.285 0.626
6 O 0.170 0.079 0.901



This entry pairs a crystal structure of Rb2NdUO6 with its theoretical X-ray diffraction stick pattern. Radiation: λ = 1.5418 Å (Cu Kα). Structure: the GGA-PBE geometry in Alexandria.
Peak positions follow from Bragg's law for the DFT cell and can differ from measured ones.

Most intense lines, 15° ≤ 2θ ≤ 90°, in order of rising 2θ:
2θ 19.93, d = 4.454 Å, I 24, hkl 2 0 0; 2θ 28.34, d = 3.150 Å, I 100, hkl 2 2 0; 2θ 40.50, d = 2.227 Å, I 30, hkl 4 0 0; 2θ 45.54, d = 1.992 Å, I 11, hkl 4 2 0; 2θ 50.17, d = 1.818 Å, I 42, hkl 4 2 2; 2θ 58.62, d = 1.575 Å, I 19, hkl 4 4 0; 2θ 66.36, d = 1.409 Å, I 19, hkl 6 2 0; 2θ 80.72, d = 1.190 Å, I 23, hkl 6 4 2

Crystal structure
a b c (Å): 8.909 8.909 8.909
angles (deg): 90.00 90.00 90.00
Space group Fm-3m (No. 225)
Inequivalent atoms, fractional coordinates:
1 Rb 0.250 0.250 0.250
2 Nd 0.000 0.000 0.000
3 U 0.000 0.000 0.500
4 O 0.000 0.000 0.267



Please write out number 1 again, unchanged.
This entry pairs a crystal structure of RbNdTcO5 with its theoretical X-ray diffraction stick pattern. Radiation: λ = 1.5418 Å (Cu Kα). Structure: the GGA-PBE geometry in Alexandria.
Peak positions follow from Bragg's law for the DFT cell and can differ from measured ones.

Most intense lines, 15° ≤ 2θ ≤ 90°, in order of rising 2θ:
2θ 23.01, d = 3.866 Å, I 95, hkl 1 1 -2; 2θ 24.85, d = 3.584 Å, I 87, hkl 2 0 0; 2θ 28.16, d = 3.169 Å, I 100, hkl 1 3 0; 2θ 28.68, d = 3.113 Å, I 65, hkl 0 2 2; 2θ 31.37, d = 2.852 Å, I 33, hkl 2 2 -2; 2θ 36.44, d = 2.465 Å, I 27, hkl 3 1 -2; 2θ 45.85, d = 1.979 Å, I 30, hkl 3 3 0; 2θ 50.99, d = 1.791 Å, I 34, hkl 1 3 -4

Crystal structure
a b c (Å): 7.822 10.600 8.395
angles (deg): 90.00 113.62 90.00
Space group C2/c (No. 15)
Inequivalent atoms, fractional coordinates:
1 Rb 0.000 0.175 0.250
2 Nd 0.000 0.500 0.000
3 Tc 0.000 0.182 0.750
4 O 0.000 0.427 0.250
5 O 0.082 0.285 0.626
6 O 0.170 0.079 0.901